For Nb2WO8, a crystal structure in Alexandria, relaxed with PBE+U gives the computed powder XRD pattern in this record (Cu Kα).
No peak broadening, texture or thermal motion is included.

Top 6 peaks for 15° ≤ 2θ ≤ 90°, most intense first:
d/Å	intensity
3.423	100
3.393	92
4.541	65
3.373	60
2.840	35
1.818	34

Unit cell a=10.568 b=10.568 c=5.157 alpha=90.70 beta=90.70 gamma=33.81
Fractional coordinates of all 22 atoms:
Nb 0.048 0.687 0.759
Nb 0.313 0.952 0.741
Nb 0.687 0.048 0.259
Nb 0.952 0.313 0.241
W 0.341 0.659 0.250
W 0.659 0.341 0.750
O 0.075 0.249 0.573
O 0.100 0.787 0.084
O 0.195 0.433 0.865
O 0.213 0.900 0.416
O 0.249 0.075 0.073
O 0.340 0.558 0.569
O 0.433 0.195 0.365
O 0.442 0.660 0.931
O 0.558 0.340 0.069
O 0.567 0.805 0.635
O 0.660 0.442 0.431
O 0.751 0.925 0.927
O 0.787 0.100 0.584
O 0.805 0.567 0.135
O 0.900 0.213 0.916
O 0.925 0.751 0.427